(1)
For CoHg3, the GGA-PBE geometry in the Materials Project gives the computed powder XRD pattern in this record (Cu Kα, 1.54184 Å).
Kinematic intensities with the Lorentz-polarization factor, no thermal factor.

Structure:
abc: 4.2885 4.2885 4.2885
angles: 90.00 90.00 90.00
Positions (direct):
Co: 0.0000 0.0000 0.0000
Hg: 0.0000 0.5000 0.5000
Hg: 0.5000 0.0000 0.5000
Hg: 0.5000 0.5000 0.0000

Main lines, by angle (2θ from 10° to 90°):
- hkl 1 0 0, 2θ 20.71, intensity 13
- hkl 1 1 0, 2θ 29.46, intensity 11
- hkl 1 1 1, 2θ 36.28, intensity 100
- hkl 2 0 0, 2θ 42.14, intensity 50
- hkl 2 1 0, 2θ 47.40, intensity 6
- hkl 2 1 1, 2θ 52.25, intensity 5
- hkl 2 2 0, 2θ 61.12, intensity 33
- hkl 3 0 0, 2θ 65.27, intensity 3
- hkl 3 1 1, 2θ 73.20, intensity 40
- hkl 2 2 2, 2θ 77.03, intensity 12

=====

(2)
For Nd2Si3Ni, the GGA-PBE geometry in the Materials Project gives the computed powder XRD pattern in this record (Cu Kα, 1.54184 Å).
Kinematic intensities with the Lorentz-polarization factor, no thermal factor.

Structure:
abc: 4.0765 4.0765 8.4216
angles: 90.00 90.00 120.00
Positions (direct):
Nd: 0.0000 0.0000 0.2404
Nd: 0.0000 0.0000 0.7596
Si: 0.3333 0.6667 0.5000
Si: 0.6667 0.3333 0.0000
Si: 0.6667 0.3333 0.5000
Ni: 0.3333 0.6667 0.0000

Main lines, by angle (2θ from 10° to 90°):
- hkl 0 0 2, 2θ 21.10, intensity 6
- hkl 1 0 0, 2θ 25.23, intensity 35
- hkl 1 0 2, 2θ 33.11, intensity 100
- hkl 0 0 4, 2θ 42.96, intensity 11
- hkl 1 1 0, 2θ 44.45, intensity 32
- hkl 1 0 4, 2θ 50.47, intensity 10
- hkl 2 0 2, 2θ 56.53, intensity 21
- hkl 1 1 4, 2θ 63.53, intensity 21
- hkl 1 0 6, 2θ 72.47, intensity 9
- hkl 2 1 2, 2θ 74.61, intensity 19

=====

(3)
For Mg6SiBO8, the GGA-PBE geometry in the Materials Project gives the computed powder XRD pattern in this record (Cu Kα, 1.54184 Å).
Kinematic intensities with the Lorentz-polarization factor, no thermal factor.

Structure:
abc: 4.1954 4.1954 8.8917
angles: 90.00 90.00 90.00
Positions (direct):
Mg: 0.0000 0.0000 0.0000
Mg: 0.0000 0.0000 0.5000
Mg: 0.0000 0.5000 0.2335
Mg: 0.0000 0.5000 0.7665
Mg: 0.5000 0.0000 0.2335
Mg: 0.5000 0.0000 0.7665
Si: 0.5000 0.5000 0.5000
B: 0.5000 0.5000 0.0000
O: 0.0000 0.0000 0.2480
O: 0.0000 0.0000 0.7520
O: 0.0000 0.5000 0.0000
O: 0.0000 0.5000 0.5000
O: 0.5000 0.0000 0.0000
O: 0.5000 0.0000 0.5000
O: 0.5000 0.5000 0.3066
O: 0.5000 0.5000 0.6934

Main lines, by angle (2θ from 10° to 90°):
- hkl 1 0 1, 2θ 23.45, intensity 11
- hkl 1 1 1, 2θ 31.80, intensity 8
- hkl 1 1 2, 2θ 36.41, intensity 13
- hkl 0 0 4, 2θ 40.58, intensity 47
- hkl 2 0 0, 2θ 43.12, intensity 100
- hkl 2 0 4, 2θ 60.71, intensity 54
- hkl 2 2 0, 2θ 62.63, intensity 27
- hkl 1 1 6, 2θ 71.11, intensity 5
- hkl 3 1 2, 2θ 74.67, intensity 7
- hkl 2 2 4, 2θ 77.34, intensity 21